The following is a simulated XRD peak list of RbNbGa2O. It was derived from a cell relaxed with GGA-PBE, using Cu Kα (weighted mean of Kα1 and Kα2).

Structural model:
```
data_RbNbGa2O
_chemical_formula_sum 'Rb1 Nb1 Ga2 O1'
_space_group_name_H-M_alt 'P 4/m m m'
_space_group_IT_number 123
_space_group_name_Hall '-P 4 2'
_cell_length_a 4.4576
_cell_length_b 4.4576
_cell_length_c 4.8959
_cell_angle_alpha 90.00
_cell_angle_beta 90.00
_cell_angle_gamma 90.00
loop_
_atom_site_label
_atom_site_fract_x
_atom_site_fract_y
_atom_site_fract_z
Rb1 0.0000 0.0000 0.0000
Nb1 0.5000 0.5000 0.0000
Ga1 0.0000 0.5000 0.5000
O1 0.0000 0.0000 0.5000
```

Main lines, most intense first (10° ≤ 2θ ≤ 90°):
d = 2.650 Å, 2θ = 33.82°, rel. 100, (1 1 1)
d = 2.229 Å, 2θ = 40.47°, rel. 37, (2 0 0)
d = 1.648 Å, 2θ = 55.78°, rel. 28, (2 0 2)
d = 2.448 Å, 2θ = 36.71°, rel. 24, (0 0 2)
d = 1.355 Å, 2θ = 69.38°, rel. 24, (3 1 1)
d = 1.449 Å, 2θ = 64.27°, rel. 15, (1 1 3)
d = 1.325 Å, 2θ = 71.15°, rel. 13, (2 2 2)
d = 1.576 Å, 2θ = 58.57°, rel. 12, (2 2 0)
d = 1.114 Å, 2θ = 87.54°, rel. 4, (4 0 0)
d = 1.224 Å, 2θ = 78.08°, rel. 2, (0 0 4)
d = 3.152 Å, 2θ = 28.31°, rel. 2, (1 1 0)
d = 3.296 Å, 2θ = 27.05°, rel. 1, (1 0 1)


The following is a simulated XRD peak list of NaPa2FeN5. It was derived from a cell relaxed with GGA-PBE, using Cu Kα (weighted mean of Kα1 and Kα2).

Structural model:
```
data_NaPa2FeN5
_chemical_formula_sum 'Na4 Pa8 Fe4 N20'
_space_group_name_H-M_alt 'I 4/m c m'
_space_group_IT_number 140
_space_group_name_Hall '-I 4 2c'
_cell_length_a 6.6442
_cell_length_b 6.6442
_cell_length_c 10.8585
_cell_angle_alpha 90.00
_cell_angle_beta 90.00
_cell_angle_gamma 90.00
loop_
_atom_site_label
_atom_site_fract_x
_atom_site_fract_y
_atom_site_fract_z
Na1 0.0000 0.0000 0.2500
Pa1 0.1843 0.3157 0.0000
Fe1 0.0000 0.5000 0.2500
N1 0.0000 0.0000 0.0000
N2 0.1345 0.3655 0.3675
```

Main lines, most intense first (10° ≤ 2θ ≤ 90°):
d = 5.429 Å, 2θ = 16.33°, rel. 100, (0 0 2)
d = 2.866 Å, 2θ = 31.21°, rel. 93, (2 1 1)
d = 2.834 Å, 2θ = 31.57°, rel. 84, (2 0 2)
d = 2.297 Å, 2θ = 39.23°, rel. 75, (2 1 3)
d = 1.594 Å, 2θ = 57.85°, rel. 37, (4 1 1)
d = 2.715 Å, 2θ = 33.00°, rel. 33, (0 0 4)
d = 1.753 Å, 2θ = 52.17°, rel. 31, (2 1 5)
d = 1.472 Å, 2θ = 63.16°, rel. 30, (4 1 3)
d = 3.322 Å, 2θ = 26.84°, rel. 20, (2 0 0)
d = 1.294 Å, 2θ = 73.13°, rel. 20, (4 1 5)
d = 1.959 Å, 2θ = 46.34°, rel. 19, (3 1 2)
d = 2.102 Å, 2θ = 43.04°, rel. 19, (2 0 4)


The following is a simulated XRD peak list of K2BaTlF8. It was derived from a cell relaxed with GGA-PBE, using Cu Kα (weighted mean of Kα1 and Kα2).

Structural model:
```
data_K2BaTlF8
_chemical_formula_sum 'K2 Ba1 Tl1 F8'
_space_group_name_H-M_alt 'P -1'
_space_group_IT_number 2
_cell_length_a 4.2981
_cell_length_b 6.2992
_cell_length_c 8.2634
_cell_angle_alpha 89.98
_cell_angle_beta 89.48
_cell_angle_gamma 86.57
loop_
_space_group_symop_operation_xyz
'x,y,z'
'-x,-y,-z'
loop_
_atom_site_label
_atom_site_fract_x
_atom_site_fract_y
_atom_site_fract_z
K1 0.0009 0.4989 0.2374
Ba1 0.5000 0.0000 0.5000
Tl1 0.5000 0.0000 0.0000
F1 0.0129 0.7544 0.4991
F2 0.0529 0.2029 0.9988
F3 0.4634 0.7822 0.7887
F4 0.4654 0.7802 0.2122
```

Main lines, most intense first (10° ≤ 2θ ≤ 90°):
d = 3.452 Å, 2θ = 25.81°, rel. 100, (1 -1 0)
d = 6.288 Å, 2θ = 14.08°, rel. 58, (0 1 0)
d = 3.647 Å, 2θ = 24.41°, rel. 37, (1 1 0)
d = 4.290 Å, 2θ = 20.70°, rel. 20, (1 0 0)
d = 4.132 Å, 2θ = 21.51°, rel. 19, (0 0 2)
d = 2.213 Å, 2θ = 40.77°, rel. 17, (1 2 2)
d = 2.202 Å, 2θ = 40.98°, rel. 17, (1 2 -2)
d = 2.145 Å, 2θ = 42.12°, rel. 15, (2 0 0)
d = 2.123 Å, 2θ = 42.59°, rel. 14, (1 -2 2)
d = 2.113 Å, 2θ = 42.80°, rel. 14, (-1 2 2)
d = 1.869 Å, 2θ = 48.72°, rel. 13, (0 3 -2)
d = 2.066 Å, 2θ = 43.82°, rel. 13, (0 0 4)